Entry 1:
Structure and calculated powder X-ray diffraction pattern of Ac2La5Sm6 (DFT lattice parameters and positions (PBE); Cu Ka).
No peak broadening, texture or thermal motion is included.

Structural model:
```
Ac2La5Sm6
1.0
12.206 0.000 0.000
0.000 21.195 0.000
0.000 0.000 3.723
Ac La Sm
4 10 12
Direct
0.175 0.223 0.000 Ac
0.325 0.723 0.000 Ac
0.675 0.277 0.000 Ac
0.825 0.777 0.000 Ac
0.000 0.500 0.500 La
0.083 0.786 0.500 La
0.203 0.056 0.500 La
0.297 0.556 0.500 La
0.417 0.286 0.500 La
0.500 0.000 0.500 La
0.583 0.714 0.500 La
0.703 0.444 0.500 La
0.797 0.944 0.500 La
0.917 0.214 0.500 La
0.062 0.928 0.000 Sm
0.067 0.640 0.000 Sm
0.188 0.379 0.500 Sm
0.312 0.879 0.500 Sm
0.433 0.140 0.000 Sm
0.438 0.428 0.000 Sm
0.562 0.572 0.000 Sm
0.567 0.860 0.000 Sm
0.688 0.121 0.500 Sm
0.812 0.621 0.500 Sm
0.933 0.360 0.000 Sm
0.938 0.072 0.000 Sm
```

Main lines, in order of rising 2θ (2θ = 10–90°):
2theta, intensity
29.6, 77.8
30.2, 47.4
30.4, 94.6
30.8, 100.0
32.9, 50.8
35.1, 33.6

Entry 2:
Structure and calculated powder X-ray diffraction pattern of Ba2BiPbSe4 (DFT lattice parameters and positions (PBE); Cu Ka).
No peak broadening, texture or thermal motion is included.

Structural model:
```
Ba2BiPbSe4
1.0
6.368 -6.371 0.000
6.368 6.371 0.000
-5.850 0.000 6.628
Ba Bi Pb Se
4 2 2 8
Direct
0.000 0.000 0.000 Ba
0.000 0.000 0.500 Ba
0.000 0.500 0.000 Ba
0.500 0.000 0.500 Ba
0.000 0.500 0.500 Bi
0.500 0.000 0.000 Bi
0.500 0.500 0.000 Pb
0.500 0.500 0.500 Pb
0.239 0.728 0.498 Se
0.250 0.270 0.511 Se
0.270 0.250 0.011 Se
0.272 0.761 0.002 Se
0.728 0.239 0.998 Se
0.730 0.750 0.989 Se
0.750 0.730 0.489 Se
0.761 0.272 0.502 Se
```

Main lines, in order of rising 2θ (2θ = 10–90°):
2theta, intensity
26.9, 56.5
28.1, 100.0
37.7, 22.5
39.2, 41.1
40.1, 38.8
47.6, 26.3

Entry 3:
Structure and calculated powder X-ray diffraction pattern of DyNp2N3 (DFT lattice parameters and positions (PBE); Cu Ka).
No peak broadening, texture or thermal motion is included.

Structural model:
```
DyNp2N3
1.0
-1.732 1.732 7.298
1.732 -1.732 7.298
1.732 1.732 -7.298
Dy Np N
1 2 3
Direct
0.000 0.000 0.000 Dy
0.334 0.334 0.000 Np
0.666 0.666 0.000 Np
0.167 0.167 0.000 N
0.500 0.500 0.000 N
0.833 0.833 0.000 N
```

Main lines, in order of rising 2θ (2θ = 10–90°):
2theta, intensity
31.7, 100.0
36.7, 44.5
37.0, 21.8
53.1, 30.9
63.0, 30.4
66.2, 15.8